Entry 1:
Calculated powder diffractogram
Compound: LaPrB2Pd8
Radiation: Cu Kα, 1.54184 Å
Structure: a crystal structure in OQMD, relaxed with PBE

Largest 8 diffraction maxima, in order of rising 2θ, 5° ≤ 2θ ≤ 70°:
h k l	d/Å	I/Imax
1 0 2	2.990	53.4
1 1 1	2.593	23.8
0 0 3	2.558	29.9
2 0 0	2.386	86.4
2 0 1	2.278	23.8
1 1 2	2.238	100.0
3 0 2	1.469	25.8
2 2 0	1.377	30.1

Structure:
```
LaPrB2Pd8
1.0
5.510 0.000 0.000
-2.755 4.771 0.000
0.000 0.000 7.673
La Pr B Pd
1 1 2 8
Cartesian
0.000 0.000 0.000
0.000 0.000 3.836
0.000 3.181 3.836
2.755 1.590 3.836
-1.377 2.386 2.333
-1.377 2.386 5.340
0.000 3.181 0.000
2.755 0.000 2.333
2.755 0.000 5.340
1.377 2.386 2.333
1.377 2.386 5.340
2.755 1.590 0.000
```



Entry 2:
Calculated powder diffractogram
Compound: LaBPd3Pt
Radiation: Cu Kα, 1.54184 Å
Structure: a crystal structure in OQMD, relaxed with PBE

Largest 8 diffraction maxima, in order of rising 2θ, 5° ≤ 2θ ≤ 70°:
h k l	d/Å	I/Imax
1 1 0	2.757	26.3
1 1 1	2.595	41.1
0 0 3	2.561	28.8
2 0 0	2.387	44.4
2 0 1	2.280	23.4
1 1 2	2.240	100.0
3 0 2	1.470	26.3
2 2 0	1.378	25.8

Structure:
```
LaBPd3Pt
1.0
5.513 0.000 0.000
-2.757 4.775 0.000
0.000 0.000 7.684
La B Pd Pt
2 2 6 2
Cartesian
0.000 0.000 0.000
0.000 0.000 3.842
0.000 3.183 0.000
2.757 1.592 0.000
-1.378 2.387 1.513
-1.378 2.387 6.171
2.757 0.000 1.513
2.757 0.000 6.171
1.378 2.387 1.513
1.378 2.387 6.171
0.000 3.183 3.842
2.757 1.592 3.842
```